1.
# Zr3Zn5
Calculated X-ray powder pattern, Cu Kα X-rays. Input: a structure optimized by DFT (PBE).
Lines closer than 0.1° are merged.

Unit cell a=3.048 b=3.048 c=15.316 alpha=90.00 beta=90.00 gamma=90.00
Fractional coordinates of all 8 atoms:
Zr1 0.000 0.000 0.000
Zr2 0.000 0.000 0.477
Zr3 0.500 0.500 0.845
Zn1 0.000 0.000 0.241
Zn2 0.000 0.000 0.709
Zn3 0.500 0.500 0.135
Zn4 0.500 0.500 0.346
Zn5 0.500 0.500 0.607

Most intense lines, 2θ = 15–90°, sorted by position:
| 2θ (°) | I_rel |
| --- | --- |
| 37.72 | 100 |
| 41.92 | 43 |
| 47.49 | 8 |
| 60.78 | 14 |
| 65.18 | 12 |
| 73.79 | 26 |

---

2.
# ZrZn
Calculated X-ray powder pattern, Cu Kα X-rays. Input: a structure optimized by DFT (PBE).
Lines closer than 0.1° are merged.

Unit cell a=9.596 b=8.446 c=5.596 alpha=90.00 beta=90.00 gamma=90.00
Fractional coordinates of all 24 atoms:
Zr1 0.120 0.250 0.000
Zr2 0.120 0.250 0.500
Zr3 0.183 0.633 0.250
Zr4 0.183 0.867 0.750
Zr5 0.373 0.042 0.250
Zr6 0.373 0.458 0.750
Zr7 0.627 0.542 0.250
Zr8 0.627 0.958 0.750
Zr9 0.817 0.133 0.250
Zr10 0.817 0.367 0.750
Zr11 0.880 0.750 0.000
Zr12 0.880 0.750 0.500
Zn1 0.086 0.552 0.750
Zn2 0.086 0.948 0.250
Zn3 0.367 0.118 0.750
Zn4 0.367 0.382 0.250
Zn5 0.425 0.750 0.000
Zn6 0.425 0.750 0.500
Zn7 0.575 0.250 0.000
Zn8 0.575 0.250 0.500
Zn9 0.633 0.618 0.750
Zn10 0.633 0.882 0.250
Zn11 0.914 0.052 0.750
Zn12 0.914 0.448 0.250

Most intense lines, 2θ = 15–90°, sorted by position:
| 2θ (°) | I_rel |
| --- | --- |
| 33.98 | 18 |
| 37.00 | 100 |
| 37.49 | 27 |
| 38.60 | 42 |
| 38.76 | 90 |
| 54.90 | 17 |

---

3.
# ZrZn
Calculated X-ray powder pattern, Cu Kα X-rays. Input: a structure optimized by DFT (PBE).
Lines closer than 0.1° are merged.

Unit cell a=5.649 b=5.649 c=4.903 alpha=115.63 beta=115.63 gamma=32.53
Fractional coordinates of all 4 atoms:
Zr1 0.115 0.115 0.362
Zr2 0.885 0.885 0.638
Zn1 0.354 0.354 0.108
Zn2 0.646 0.646 0.892

Most intense lines, 2θ = 15–90°, sorted by position:
| 2θ (°) | I_rel |
| --- | --- |
| 36.66 | 30 |
| 37.14 | 25 |
| 38.63 | 100 |
| 53.18 | 17 |
| 67.32 | 18 |
| 67.95 | 13 |

---

4.
# Zr5Zn6
Calculated X-ray powder pattern, Cu Kα X-rays. Input: a structure optimized by DFT (PBE).
Lines closer than 0.1° are merged.

Unit cell a=7.873 b=7.873 c=4.645 alpha=106.95 beta=106.95 gamma=50.33
Fractional coordinates of all 11 atoms:
Zr1 0.000 0.000 0.000
Zr2 0.154 0.154 0.654
Zr3 0.302 0.302 0.302
Zr4 0.698 0.698 0.698
Zr5 0.846 0.846 0.346
Zn1 0.153 0.560 0.856
Zn2 0.301 0.699 0.500
Zn3 0.440 0.847 0.144
Zn4 0.560 0.153 0.856
Zn5 0.699 0.301 0.500
Zn6 0.847 0.440 0.144

Most intense lines, 2θ = 15–90°, sorted by position:
| 2θ (°) | I_rel |
| --- | --- |
| 35.46 | 21 |
| 35.58 | 21 |
| 38.69 | 65 |
| 38.77 | 100 |
| 40.10 | 20 |
| 40.99 | 14 |